No. 1
The following is a theoretical X-ray powder pattern of Pm3SnI3. It was derived from a GGA-PBE-relaxed structure, using Cu Kα, 1.54184 Å.
Kinematic intensities with the Lorentz-polarization factor, no thermal factor.

Structure:
Unit cell a=9.0775 b=4.5159 c=12.6191 alpha=90.00 beta=92.32 gamma=90.00
Positions (direct):
Pm1 0.0833 0.2500 0.3306
Pm2 0.1764 0.2500 0.8521
Pm3 0.2759 0.7500 0.0963
Pm4 0.7241 0.2500 0.9037
Pm5 0.8236 0.7500 0.1479
Pm6 0.9167 0.7500 0.6694
Sn1 0.0419 0.2500 0.0897
Sn2 0.9581 0.7500 0.9103
I1 0.1505 0.2500 0.5979
I2 0.3280 0.7500 0.3492
I3 0.4408 0.7500 0.8669
I4 0.5592 0.2500 0.1331
I5 0.6720 0.2500 0.6508
I6 0.8495 0.7500 0.4021

Largest 10 diffraction maxima, by angle, 10 to 90 degrees two-theta:
- 2θ 27.9, I = 100.0
- 2θ 28.3, I = 54.2
- 2θ 28.6, I = 38.0
- 2θ 29.0, I = 41.4
- 2θ 35.8, I = 47.5
- 2θ 39.6, I = 41.0
- 2θ 39.9, I = 38.4
- 2θ 40.1, I = 30.2
- 2θ 49.7, I = 22.8
- 2θ 65.3, I = 22.4



No. 2
The following is a theoretical X-ray powder pattern of TbPm3I8. It was derived from a GGA-PBE-relaxed structure, using Cu Kα, 1.54184 Å.
Kinematic intensities with the Lorentz-polarization factor, no thermal factor.

Structure:
Unit cell a=8.3858 b=8.3858 c=9.4844 alpha=116.32 beta=116.32 gamma=60.10
Positions (direct):
Tb1 0.0000 0.0000 0.0000
Pm1 0.0000 0.5000 0.0000
Pm2 0.5000 0.0000 0.0000
Pm3 0.5000 0.5000 0.0000
I1 0.2447 0.7543 0.7539
I2 0.2457 0.2457 0.2461
I3 0.2457 0.7553 0.2461
I4 0.2495 0.2495 0.7490
I5 0.7505 0.7505 0.2510
I6 0.7543 0.2447 0.7539
I7 0.7543 0.7543 0.7539
I8 0.7553 0.2457 0.2461

Largest 10 diffraction maxima, by angle, 10 to 90 degrees two-theta:
- 2θ 10.9, I = 45.9
- 2θ 24.8, I = 19.6
- 2θ 28.6, I = 100.0
- 2θ 38.5, I = 44.7
- 2θ 43.1, I = 32.3
- 2θ 44.5, I = 9.9
- 2θ 44.6, I = 10.0
- 2θ 52.6, I = 18.0
- 2θ 63.6, I = 13.4
- 2θ 70.2, I = 10.0



No. 3
The following is a theoretical X-ray powder pattern of PmThTcI. It was derived from a GGA-PBE-relaxed structure, using Cu Kα, 1.54184 Å.
Kinematic intensities with the Lorentz-polarization factor, no thermal factor.

Structure:
Unit cell a=8.3947 b=8.3947 c=8.3947 alpha=28.95 beta=28.95 gamma=28.95
Positions (direct):
Pm1 0.0000 0.0000 0.0000
Th1 0.2135 0.2135 0.2135
Tc1 0.5934 0.5934 0.5934
I1 0.7677 0.7677 0.7677

Largest 10 diffraction maxima, by angle, 10 to 90 degrees two-theta:
- 2θ 11.0, I = 31.1
- 2θ 25.6, I = 27.1
- 2θ 28.7, I = 48.6
- 2θ 30.8, I = 100.0
- 2θ 33.4, I = 16.4
- 2θ 38.8, I = 15.2
- 2θ 43.1, I = 53.3
- 2θ 53.9, I = 20.8
- 2θ 55.6, I = 37.3
- 2θ 71.4, I = 19.4



No. 4
The following is a theoretical X-ray powder pattern of PmTeI3. It was derived from a GGA-PBE-relaxed structure, using Cu Kα, 1.54184 Å.
Kinematic intensities with the Lorentz-polarization factor, no thermal factor.

Structure:
Unit cell a=7.6991 b=8.9476 c=15.5071 alpha=90.00 beta=105.87 gamma=90.00
Positions (direct):
Pm1 0.0950 0.1500 0.1215
Pm2 0.0950 0.8500 0.6215
Pm3 0.9050 0.1500 0.3785
Pm4 0.9050 0.8500 0.8785
Te1 0.1702 0.3743 0.3029
Te2 0.1702 0.6257 0.8029
Te3 0.8298 0.3743 0.1971
Te4 0.8298 0.6257 0.6971
I1 0.1915 0.1640 0.5639
I2 0.1915 0.8360 0.0639
I3 0.2589 0.0141 0.3173
I4 0.2589 0.9859 0.8173
I5 0.3437 0.3506 0.0599
I6 0.3437 0.6494 0.5599
I7 0.6563 0.3506 0.4401
I8 0.6563 0.6494 0.9401
I9 0.7411 0.0141 0.1827
I10 0.7411 0.9859 0.6827
I11 0.8085 0.1640 0.9361
I12 0.8085 0.8360 0.4361

Largest 10 diffraction maxima, by angle, 10 to 90 degrees two-theta:
- 2θ 11.5, I = 100.0
- 2θ 12.0, I = 35.3
- 2θ 23.2, I = 30.8
- 2θ 23.6, I = 40.6
- 2θ 25.8, I = 33.3
- 2θ 27.3, I = 55.2
- 2θ 27.7, I = 29.5
- 2θ 29.6, I = 61.5
- 2θ 33.4, I = 33.1
- 2θ 42.7, I = 28.0



No. 5
The following is a theoretical X-ray powder pattern of PmThI6. It was derived from a GGA-PBE-relaxed structure, using Cu Kα, 1.54184 Å.
Kinematic intensities with the Lorentz-polarization factor, no thermal factor.

Structure:
Unit cell a=8.7366 b=8.7366 c=8.7366 alpha=60.00 beta=60.00 gamma=60.00
Positions (direct):
Pm1 0.0000 0.0000 0.0000
Th1 0.5000 0.5000 0.5000
I1 0.2513 0.2513 0.7487
I2 0.2513 0.7487 0.2513
I3 0.2513 0.7487 0.7487
I4 0.7487 0.2513 0.2513
I5 0.7487 0.2513 0.7487
I6 0.7487 0.7487 0.2513

Largest 10 diffraction maxima, by angle, 10 to 90 degrees two-theta:
- 2θ 14.3, I = 100.0
- 2θ 25.0, I = 14.4
- 2θ 28.9, I = 62.2
- 2θ 32.4, I = 56.3
- 2θ 41.3, I = 47.1
- 2θ 44.0, I = 30.4
- 2θ 51.2, I = 16.8
- 2θ 61.9, I = 17.6
- 2θ 67.8, I = 21.6
- 2θ 75.4, I = 16.1



No. 6
The following is a theoretical X-ray powder pattern of Pm3TlI3. It was derived from a GGA-PBE-relaxed structure, using Cu Kα, 1.54184 Å.
Kinematic intensities with the Lorentz-polarization factor, no thermal factor.

Structure:
Unit cell a=10.9997 b=10.9997 c=10.9997 alpha=109.47 beta=109.47 gamma=109.47
Positions (direct):
Pm1 0.0094 0.0187 0.2594
Pm2 0.0094 0.4906 0.7500
Pm3 0.0187 0.2594 0.0094
Pm4 0.2406 0.2594 0.7500
Pm5 0.2406 0.4813 0.4906
Pm6 0.2594 0.0094 0.0187
Pm7 0.2594 0.7500 0.2406
Pm8 0.4813 0.4906 0.2406
Pm9 0.4906 0.2406 0.4813
Pm10 0.4906 0.7500 0.0094
Pm11 0.7500 0.0094 0.4906
Pm12 0.7500 0.2406 0.2594
Tl1 0.0000 0.2500 0.5000
Tl2 0.2500 0.2500 0.2500
Tl3 0.2500 0.5000 0.0000
Tl4 0.5000 0.0000 0.2500
I1 0.2500 0.7558 0.7442
I2 0.2500 0.9942 0.5058
I3 0.5058 0.2500 0.9942
I4 0.5058 0.7558 0.5115
I5 0.5115 0.5058 0.7558
I6 0.7442 0.2500 0.7558
I7 0.7442 0.9942 0.9885
I8 0.7558 0.5115 0.5058
I9 0.7558 0.7442 0.2500
I10 0.9885 0.7442 0.9942
I11 0.9942 0.5058 0.2500
I12 0.9942 0.9885 0.7442

Largest 10 diffraction maxima, by angle, 10 to 90 degrees two-theta:
- 2θ 22.1, I = 7.4
- 2θ 28.1, I = 100.0
- 2θ 29.8, I = 5.7
- 2θ 36.1, I = 7.8
- 2θ 40.2, I = 75.0
- 2θ 49.7, I = 26.4
- 2θ 58.1, I = 12.2
- 2θ 65.8, I = 32.8
- 2θ 73.0, I = 23.7
- 2θ 86.7, I = 7.5



No. 7
The following is a theoretical X-ray powder pattern of PmTl5I8. It was derived from a GGA-PBE-relaxed structure, using Cu Kα, 1.54184 Å.
Kinematic intensities with the Lorentz-polarization factor, no thermal factor.

Structure:
Unit cell a=9.0803 b=9.0803 c=9.0803 alpha=109.79 beta=109.79 gamma=108.83
Positions (direct):
Pm1 0.0000 0.0000 0.0000
Tl1 0.2503 0.6250 0.1028
Tl2 0.3750 0.4778 0.6252
Tl3 0.5222 0.1474 0.8972
Tl4 0.7500 0.2500 0.5000
Tl5 0.8526 0.7497 0.3748
I1 0.0028 0.3600 0.2217
I2 0.1010 0.2080 0.7627
I3 0.1383 0.7810 0.7783
I4 0.2190 0.9972 0.3573
I5 0.4452 0.3383 0.2373
I6 0.6400 0.8617 0.6427
I7 0.6617 0.8990 0.1069
I8 0.7920 0.5548 0.8931

Largest 10 diffraction maxima, by angle, 10 to 90 degrees two-theta:
- 2θ 20.8, I = 14.2
- 2θ 26.7, I = 40.5
- 2θ 27.0, I = 100.0
- 2θ 31.8, I = 44.2
- 2θ 32.0, I = 50.8
- 2θ 38.5, I = 18.6
- 2θ 40.3, I = 15.5
- 2θ 42.3, I = 14.5
- 2θ 44.2, I = 15.7
- 2θ 54.0, I = 14.7



No. 8
The following is a theoretical X-ray powder pattern of Pm7TlI12. It was derived from a GGA-PBE-relaxed structure, using Cu Kα, 1.54184 Å.
Kinematic intensities with the Lorentz-polarization factor, no thermal factor.

Structure:
Unit cell a=10.0139 b=10.0139 c=10.0139 alpha=108.24 beta=108.24 gamma=108.24
Positions (direct):
Pm1 0.0000 0.0000 0.0000
Pm2 0.1645 0.4538 0.3835
Pm3 0.3835 0.1645 0.4538
Pm4 0.4538 0.3835 0.1645
Pm5 0.5462 0.6165 0.8355
Pm6 0.6165 0.8355 0.5462
Pm7 0.8355 0.5462 0.6165
Tl1 0.5000 0.5000 0.5000
I1 0.0244 0.1039 0.3443
I2 0.1039 0.3443 0.0244
I3 0.1928 0.5776 0.7302
I4 0.2698 0.8072 0.4224
I5 0.3443 0.0244 0.1039
I6 0.4224 0.2698 0.8072
I7 0.5776 0.7302 0.1928
I8 0.6557 0.9756 0.8961
I9 0.7302 0.1928 0.5776
I10 0.8072 0.4224 0.2698
I11 0.8961 0.6558 0.9756
I12 0.9756 0.8961 0.6557

Largest 10 diffraction maxima, by angle, 10 to 90 degrees two-theta:
- 2θ 10.9, I = 22.6
- 2θ 24.3, I = 11.2
- 2θ 28.4, I = 100.0
- 2θ 40.1, I = 37.7
- 2θ 41.2, I = 36.3
- 2θ 49.9, I = 20.1
- 2θ 58.8, I = 12.4
- 2θ 65.8, I = 16.5
- 2θ 67.4, I = 15.7
- 2θ 73.5, I = 12.0



No. 9
The following is a theoretical X-ray powder pattern of PmTl3I7. It was derived from a GGA-PBE-relaxed structure, using Cu Kα, 1.54184 Å.
Kinematic intensities with the Lorentz-polarization factor, no thermal factor.

Structure:
Unit cell a=8.4954 b=8.4954 c=9.1875 alpha=118.28 beta=118.28 gamma=84.52
Positions (direct):
Pm1 0.0000 0.0000 0.0000
Tl1 0.1418 0.7151 0.4280
Tl2 0.4217 0.4217 0.8378
Tl3 0.7151 0.1418 0.4280
I1 0.1275 0.1275 0.7983
I2 0.3139 0.3139 0.3737
I3 0.3143 0.7864 0.1629
I4 0.6037 0.9854 0.6736
I5 0.7864 0.3143 0.1629
I6 0.7884 0.7884 0.0751
I7 0.9854 0.6037 0.6736

Largest 10 diffraction maxima, by angle, 10 to 90 degrees two-theta:
- 2θ 18.4, I = 41.3
- 2θ 19.5, I = 41.9
- 2θ 20.0, I = 100.0
- 2θ 25.1, I = 38.7
- 2θ 28.4, I = 72.4
- 2θ 29.7, I = 42.9
- 2θ 31.3, I = 83.1
- 2θ 32.4, I = 75.2
- 2θ 33.7, I = 40.4
- 2θ 34.4, I = 39.8



No. 10
The following is a theoretical X-ray powder pattern of Pm4Tl2I3. It was derived from a GGA-PBE-relaxed structure, using Cu Kα, 1.54184 Å.
Kinematic intensities with the Lorentz-polarization factor, no thermal factor.

Structure:
Unit cell a=4.3953 b=4.3953 c=19.4546 alpha=90.05 beta=90.05 gamma=60.00
Positions (direct):
Pm1 0.0009 0.0009 0.2969
Pm2 0.3337 0.3337 0.1050
Pm3 0.6663 0.6663 0.8950
Pm4 0.9991 0.9991 0.7031
Tl1 0.3327 0.3327 0.8000
Tl2 0.6673 0.6673 0.2000
I1 0.0000 0.0000 0.0000
I2 0.3345 0.3345 0.3981
I3 0.6655 0.6655 0.6019

Largest 10 diffraction maxima, by angle, 10 to 90 degrees two-theta:
- 2θ 27.2, I = 100.0
- 2θ 29.8, I = 31.7
- 2θ 36.4, I = 16.2
- 2θ 40.2, I = 37.1
- 2θ 41.1, I = 44.5
- 2θ 49.9, I = 18.9
- 2θ 58.8, I = 12.2
- 2θ 63.9, I = 23.4
- 2θ 66.6, I = 15.9
- 2θ 74.2, I = 12.3



No. 11
The following is a theoretical X-ray powder pattern of PmYI5. It was derived from a GGA-PBE-relaxed structure, using Cu Kα, 1.54184 Å.
Kinematic intensities with the Lorentz-polarization factor, no thermal factor.

Structure:
Unit cell a=9.4613 b=4.2211 c=14.9953 alpha=90.00 beta=96.32 gamma=90.00
Positions (direct):
Pm1 0.0887 0.2500 0.1588
Pm2 0.9113 0.7500 0.8412
Y1 0.3934 0.7500 0.3509
Y2 0.6066 0.2500 0.6491
I1 0.1301 0.2500 0.7864
I2 0.1589 0.2500 0.3754
I3 0.1797 0.7500 0.0170
I4 0.3756 0.7500 0.5698
I5 0.4316 0.2500 0.1990
I6 0.5684 0.7500 0.8010
I7 0.6244 0.2500 0.4302
I8 0.8203 0.2500 0.9830
I9 0.8411 0.7500 0.6246
I10 0.8699 0.7500 0.2136

Largest 10 diffraction maxima, by angle, 10 to 90 degrees two-theta:
- 2θ 10.6, I = 100.0
- 2θ 26.5, I = 38.1
- 2θ 27.5, I = 42.8
- 2θ 28.4, I = 42.5
- 2θ 28.6, I = 58.4
- 2θ 30.0, I = 53.8
- 2θ 32.0, I = 22.3
- 2θ 36.7, I = 22.3
- 2θ 37.3, I = 21.9
- 2θ 42.8, I = 27.1



No. 12
The following is a theoretical X-ray powder pattern of Pm2YI5. It was derived from a GGA-PBE-relaxed structure, using Cu Kα, 1.54184 Å.
Kinematic intensities with the Lorentz-polarization factor, no thermal factor.

Structure:
Unit cell a=13.5213 b=13.9609 c=7.5999 alpha=90.00 beta=90.00 gamma=90.00
Positions (direct):
Pm1 0.0000 0.0000 0.2465
Pm2 0.0000 0.0000 0.7535
Pm3 0.1011 0.3996 0.5000
Pm4 0.3989 0.8996 0.0000
Pm5 0.5000 0.5000 0.2535
Pm6 0.5000 0.5000 0.7465
Pm7 0.6011 0.1004 0.0000
Pm8 0.8989 0.6004 0.5000
Y1 0.2160 0.3034 0.0000
Y2 0.2840 0.8034 0.5000
Y3 0.7160 0.1966 0.5000
Y4 0.7840 0.6966 0.0000
I1 0.0690 0.2212 0.2529
I2 0.0690 0.2212 0.7471
I3 0.1404 0.6267 0.5000
I4 0.1622 0.8989 0.0000
I5 0.1906 0.9967 0.5000
I6 0.3094 0.4967 0.0000
I7 0.3378 0.3989 0.5000
I8 0.3596 0.1267 0.0000
I9 0.4310 0.7212 0.2471
I10 0.4310 0.7212 0.7529
I11 0.5690 0.2788 0.2471
I12 0.5690 0.2788 0.7529
I13 0.6404 0.8733 0.0000
I14 0.6622 0.6011 0.5000
I15 0.6906 0.5033 0.0000
I16 0.8094 0.0033 0.5000
I17 0.8378 0.1011 0.0000
I18 0.8596 0.3733 0.5000
I19 0.9310 0.7788 0.2529
I20 0.9310 0.7788 0.7471

Largest 10 diffraction maxima, by angle, 10 to 90 degrees two-theta:
- 2θ 13.3, I = 45.6
- 2θ 13.4, I = 48.1
- 2θ 25.2, I = 52.8
- 2θ 26.9, I = 100.0
- 2θ 29.6, I = 40.3
- 2θ 32.8, I = 46.5
- 2θ 34.2, I = 63.8
- 2θ 34.9, I = 68.7
- 2θ 40.6, I = 65.9
- 2θ 47.9, I = 38.3